Computed PXRD pattern
Compound: NdErGa6
Radiation: Cu Kα
Structure: a crystal structure in OQMD, relaxed with PBE
Peak positions follow from Bragg's law for the DFT cell and can differ from measured ones.

Largest 10 diffraction maxima, in order of falling intensity, 2θ = 15–90°:
2θ 38.21, I = 100, hkl 2 0 1
2θ 32.53, I = 25, hkl 2 0 0
2θ 25.38, I = 23, hkl 1 0 1
2θ 39.58, I = 22, hkl 0 0 2
2θ 72.54, I = 17, hkl 2 2 2
2θ 58.05, I = 16, hkl 2 2 0
2θ 70.89, I = 16, hkl 2 0 3
2θ 52.13, I = 13, hkl 2 0 2
2θ 71.64, I = 12, hkl 4 0 1
2θ 28.08, I = 10, hkl 1 1 0

Cell and atoms:
```
NdErGa6
1.0
6.356 0.000 0.000
-3.178 5.504 0.000
0.000 0.000 4.554
Nd Er Ga
1 1 6
Direct
0.000 0.000 0.000
0.667 0.333 0.500
0.038 0.519 0.000
0.189 0.378 0.500
0.189 0.811 0.500
0.481 0.519 0.000
0.481 0.962 0.000
0.622 0.811 0.500
```